Starting from DFT lattice parameters and positions (PBE), the PXRD pattern of Cs3K5Na2 was simulated for λ = 1.5418 Å (Cu Kα).
No peak broadening, texture or thermal motion is included.

Largest 10 diffraction maxima, in order of rising 2θ, 10° ≤ 2θ ≤ 80°:
13.72 deg, 6.454 Å, I = 32.7
13.95 deg, 6.347 Å, I = 34.2
19.76 deg, 4.493 Å, I = 88.1
20.64 deg, 4.302 Å, I = 46.4
22.33 deg, 3.982 Å, I = 41.0
22.90 deg, 3.883 Å, I = 100.0
24.05 deg, 3.700 Å, I = 43.3
24.24 deg, 3.672 Å, I = 33.1
25.36 deg, 3.512 Å, I = 51.4
33.59 deg, 2.668 Å, I = 33.6

Structural model:
Unit cell a=14.3018 b=14.3018 c=14.3018 alpha=112.33 beta=79.25 gamma=143.77
Fractional positions:
1 Cs 0.1737 0.2156 0.3893
2 Cs 0.2500 0.2500 0.0000
3 Cs 0.3263 0.7156 0.0420
4 Cs 0.6737 0.2844 0.9580
5 Cs 0.7500 0.7500 0.0000
6 Cs 0.8263 0.7844 0.6107
7 K 0.0601 0.7500 0.3101
8 K 0.0633 0.7239 0.7872
9 K 0.2500 0.7500 0.5000
10 K 0.4367 0.2239 0.6607
11 K 0.4399 0.7500 0.6899
12 K 0.5601 0.2500 0.3101
13 K 0.5633 0.7761 0.3393
14 K 0.7500 0.2500 0.5000
15 K 0.9367 0.2761 0.2128
16 K 0.9399 0.2500 0.6899
17 Na 0.1688 0.9249 0.0937
18 Na 0.3312 0.4249 0.7561
19 Na 0.6688 0.5751 0.2439
20 Na 0.8312 0.0751 0.9063